Entry 1:
Starting from a crystal structure in the Materials Project, relaxed with PBE, the powder diffraction line list of Rb2NdAgCl6 was calculated for λ = 1.5418 Å (Cu Kα).
No peak broadening, texture or thermal motion is included.

Main lines, in order of falling intensity (2θ = 15–90°):
d = 3.873 Å, 22.96 deg, intensity 100.0, (2 2 0); d = 2.738 Å, 32.70 deg, intensity 67.3, (4 0 0); d = 2.236 Å, 40.34 deg, intensity 46.7, (4 2 2); d = 1.936 Å, 46.92 deg, intensity 46.0, (4 4 0); d = 1.464 Å, 63.56 deg, intensity 24.4, (6 4 2); d = 5.477 Å, 16.18 deg, intensity 23.4, (2 0 0); d = 1.732 Å, 52.86 deg, intensity 21.3, (6 2 0); d = 1.225 Å, 78.02 deg, intensity 19.6, (8 4 0)

Structure:
```
data_Rb2NdAgCl6
_chemical_formula_sum 'Rb8 Nd4 Ag4 Cl24'
_cell_length_a 10.954
_cell_length_b 10.954
_cell_length_c 10.954
_cell_angle_alpha 90.00
_cell_angle_beta 90.00
_cell_angle_gamma 90.00
_space_group_name_H-M_alt 'F m -3 m'
_space_group_IT_number 225
_space_group_name_Hall '-F 4 2 3'
loop_
_atom_site_label
_atom_site_type_symbol
_atom_site_fract_x
_atom_site_fract_y
_atom_site_fract_z
Rb1 Rb 0.250 0.250 0.250
Nd1 Nd 0.000 0.000 0.000
Ag1 Ag 0.000 0.000 0.500
Cl1 Cl 0.000 0.000 0.249
```

=====

Entry 2:
Starting from a crystal structure in the Materials Project, relaxed with PBE, the powder diffraction line list of Cr2S2BrCl was calculated for λ = 1.5418 Å (Cu Kα).
No peak broadening, texture or thermal motion is included.

Main lines, in order of falling intensity (2θ = 15–90°):
d = 2.661 Å, 33.68 deg, intensity 100.0, (1 0 2); d = 4.107 Å, 21.64 deg, intensity 85.1, (0 1 1); d = 1.772 Å, 51.59 deg, intensity 44.2, (1 2 2); d = 1.959 Å, 46.34 deg, intensity 40.2, (1 1 3); d = 2.375 Å, 37.88 deg, intensity 35.1, (0 2 0); d = 1.752 Å, 52.22 deg, intensity 12.8, (2 0 0); d = 1.410 Å, 66.30 deg, intensity 11.8, (2 2 0); d = 1.546 Å, 59.84 deg, intensity 11.8, (0 1 5)

Structure:
```
data_Cr2S2BrCl
_chemical_formula_sum 'Cr2 S2 Br1 Cl1'
_cell_length_a 3.504
_cell_length_b 4.750
_cell_length_c 8.173
_cell_angle_alpha 90.00
_cell_angle_beta 90.00
_cell_angle_gamma 90.00
_space_group_name_H-M_alt 'P m m 2'
_space_group_IT_number 25
_space_group_name_Hall 'P 2 -2'
loop_
_atom_site_label
_atom_site_type_symbol
_atom_site_fract_x
_atom_site_fract_y
_atom_site_fract_z
Cr1 Cr 0.000 0.000 0.000
Cr2 Cr 0.500 0.500 0.257
S1 S 0.000 0.500 0.058
S2 S 0.500 0.000 0.199
Br1 Br 0.000 0.500 0.477
Cl1 Cl 0.500 0.000 0.802
```

=====

Entry 3:
Starting from a crystal structure in the Materials Project, relaxed with PBE, the powder diffraction line list of GdDyZn2 was calculated for λ = 1.5418 Å (Cu Kα).
No peak broadening, texture or thermal motion is included.

Main lines, in order of falling intensity (2θ = 15–90°):
d = 2.538 Å, 35.37 deg, intensity 100.0, (2 2 0); d = 1.465 Å, 63.49 deg, intensity 35.7, (4 2 2); d = 1.795 Å, 50.88 deg, intensity 17.6, (4 0 0); d = 3.589 Å, 24.81 deg, intensity 17.3, (2 0 0); d = 1.135 Å, 85.56 deg, intensity 15.6, (6 2 0); d = 1.269 Å, 74.82 deg, intensity 10.9, (4 4 0); d = 1.605 Å, 57.41 deg, intensity 7.4, (4 2 0); d = 2.072 Å, 43.68 deg, intensity 5.3, (2 2 2)

Structure:
```
data_GdDyZn2
_chemical_formula_sum 'Gd4 Dy4 Zn8'
_cell_length_a 7.179
_cell_length_b 7.179
_cell_length_c 7.179
_cell_angle_alpha 90.00
_cell_angle_beta 90.00
_cell_angle_gamma 90.00
_space_group_name_H-M_alt 'F m -3 m'
_space_group_IT_number 225
_space_group_name_Hall '-F 4 2 3'
loop_
_atom_site_label
_atom_site_type_symbol
_atom_site_fract_x
_atom_site_fract_y
_atom_site_fract_z
Gd1 Gd 0.000 0.000 0.000
Dy1 Dy 0.000 0.000 0.500
Zn1 Zn 0.250 0.250 0.250
```

=====

Entry 4:
Starting from a crystal structure in the Materials Project, relaxed with PBE, the powder diffraction line list of Ba8Ta7O24 was calculated for λ = 1.5418 Å (Cu Kα).
No peak broadening, texture or thermal motion is included.

Main lines, in order of falling intensity (2θ = 15–90°):
d = 2.956 Å, 30.23 deg, intensity 100.0, (1 1 0); d = 3.070 Å, 29.08 deg, intensity 67.0, (1 0 5); d = 2.130 Å, 42.45 deg, intensity 34.3, (0 2 5); d = 1.728 Å, 53.00 deg, intensity 26.0, (2 1 5); d = 2.712 Å, 33.03 deg, intensity 24.3, (1 0 6); d = 1.707 Å, 53.71 deg, intensity 20.4, (3 0 0); d = 1.478 Å, 62.88 deg, intensity 18.1, (2 2 0); d = 1.998 Å, 45.38 deg, intensity 15.3, (0 2 6)

Structure:
```
data_Ba8Ta7O24
_chemical_formula_sum 'Ba8 Ta7 O24'
_cell_length_a 5.9121
_cell_length_b 5.9121
_cell_length_c 19.1849
_cell_angle_alpha 90.00
_cell_angle_beta 90.00
_cell_angle_gamma 120.00
_space_group_name_H-M_alt 'P 3 m 1'
_space_group_IT_number 156
_space_group_name_Hall 'P 3 -2"'
loop_
_atom_site_label
_atom_site_type_symbol
_atom_site_fract_x
_atom_site_fract_y
_atom_site_fract_z
Ba1 Ba 0.0000 0.0000 0.0000
Ba2 Ba 0.0000 0.0000 0.2193
Ba3 Ba 0.0000 0.0000 0.6164
Ba4 Ba 0.3333 0.6667 0.1247
Ba5 Ba 0.3333 0.6667 0.4983
Ba6 Ba 0.3333 0.6667 0.7325
Ba7 Ba 0.6667 0.3333 0.3496
Ba8 Ba 0.6667 0.3333 0.8699
Ta1 Ta 0.0000 0.0000 0.4274
Ta2 Ta 0.0000 0.0000 0.8055
Ta3 Ta 0.3333 0.6667 0.3026
Ta4 Ta 0.3333 0.6667 0.9291
Ta5 Ta 0.6667 0.3333 0.0613
Ta6 Ta 0.6667 0.3333 0.5495
Ta7 Ta 0.6667 0.3333 0.6850
O1 O 0.0058 0.5029 0.9857
O2 O 0.0223 0.5112 0.2507
O3 O 0.1646 0.3291 0.3751
O4 O 0.1676 0.3352 0.8650
O5 O 0.3256 0.1628 0.4939
O6 O 0.3275 0.1637 0.7438
O7 O 0.3419 0.1709 0.1068
O8 O 0.5062 0.0124 0.6170
```

=====

Entry 5:
Starting from a crystal structure in the Materials Project, relaxed with PBE, the powder diffraction line list of Zr4S3N2 was calculated for λ = 1.5418 Å (Cu Kα).
No peak broadening, texture or thermal motion is included.

Main lines, in order of falling intensity (2θ = 15–90°):
d = 2.604 Å, 34.44 deg, intensity 100.0, (3 1 -2); d = 2.769 Å, 32.33 deg, intensity 33.7, (1 1 1); d = 3.147 Å, 28.36 deg, intensity 29.0, (2 0 1); d = 4.685 Å, 18.94 deg, intensity 25.0, (2 0 0); d = 3.135 Å, 28.47 deg, intensity 21.3, (2 0 -3); d = 1.777 Å, 51.42 deg, intensity 20.8, (1 1 -4); d = 2.208 Å, 40.87 deg, intensity 20.8, (1 1 -3); d = 2.272 Å, 39.68 deg, intensity 19.5, (2 0 2)

Structure:
```
data_Zr4S3N2
_chemical_formula_sum 'Zr8 S6 N4'
_cell_length_a 12.167
_cell_length_b 3.494
_cell_length_c 9.509
_cell_angle_alpha 90.00
_cell_angle_beta 129.53
_cell_angle_gamma 90.00
_space_group_name_H-M_alt 'C 1 2/m 1'
_space_group_IT_number 12
_space_group_name_Hall '-C 2y'
loop_
_atom_site_label
_atom_site_type_symbol
_atom_site_fract_x
_atom_site_fract_y
_atom_site_fract_z
Zr1 Zr 0.105 0.000 0.402
Zr2 Zr 0.229 0.500 0.845
S1 S 0.000 0.500 0.500
S2 S 0.153 0.500 0.241
N1 N 0.136 0.000 0.865
```

=====

Entry 6:
Starting from a crystal structure in the Materials Project, relaxed with PBE, the powder diffraction line list of Zr was calculated for λ = 1.5418 Å (Cu Kα).
No peak broadening, texture or thermal motion is included.

Main lines, in order of falling intensity (2θ = 15–90°):
d = 2.476 Å, 36.28 deg, intensity 100.0, (1 3 0); d = 2.569 Å, 34.93 deg, intensity 95.1, (1 1 2); d = 2.486 Å, 36.13 deg, intensity 68.0, (0 2 2); d = 2.406 Å, 37.37 deg, intensity 59.9, (2 1 1); d = 2.750 Å, 32.56 deg, intensity 37.6, (2 0 0); d = 1.620 Å, 56.83 deg, intensity 35.2, (3 2 1); d = 1.844 Å, 49.42 deg, intensity 29.1, (2 2 2); d = 1.417 Å, 65.94 deg, intensity 28.2, (1 5 2)

Structure:
```
data_Zr
_chemical_formula_sum 'Zr12'
_cell_length_a 5.500
_cell_length_b 8.320
_cell_length_c 6.200
_cell_angle_alpha 90.00
_cell_angle_beta 90.00
_cell_angle_gamma 90.00
_space_group_name_H-M_alt 'I b a m'
_space_group_IT_number 72
_space_group_name_Hall '-I 2 2c'
loop_
_atom_site_label
_atom_site_type_symbol
_atom_site_fract_x
_atom_site_fract_y
_atom_site_fract_z
Zr1 Zr 0.000 0.000 0.250
Zr2 Zr 0.082 0.323 0.000
```

=====

Entry 7:
Starting from a crystal structure in the Materials Project, relaxed with PBE, the powder diffraction line list of P4S3 was calculated for λ = 1.5418 Å (Cu Kα).
No peak broadening, texture or thermal motion is included.

Main lines, in order of falling intensity (2θ = 15–90°):
d = 5.460 Å, 16.23 deg, intensity 100.0, (1 1 2); d = 5.291 Å, 16.76 deg, intensity 36.7, (0 2 0); d = 5.074 Å, 17.48 deg, intensity 28.8, (2 1 0); d = 2.954 Å, 30.26 deg, intensity 23.0, (2 3 1); d = 3.052 Å, 29.26 deg, intensity 22.8, (2 1 4); d = 3.295 Å, 27.06 deg, intensity 17.5, (1 3 1); d = 3.440 Å, 25.90 deg, intensity 14.0, (3 0 2); d = 5.782 Å, 15.32 deg, intensity 11.1, (2 0 0)

Structure:
```
data_P4S3
_chemical_formula_sum 'P32 S24'
_cell_length_a 11.564
_cell_length_b 10.583
_cell_length_c 15.277
_cell_angle_alpha 90.00
_cell_angle_beta 90.00
_cell_angle_gamma 90.00
_space_group_name_H-M_alt 'P n m a'
_space_group_IT_number 62
_space_group_name_Hall '-P 2ac 2n'
loop_
_atom_site_label
_atom_site_type_symbol
_atom_site_fract_x
_atom_site_fract_y
_atom_site_fract_z
P1 P 0.025 0.250 0.042
P2 P 0.030 0.750 0.483
P3 P 0.052 0.643 0.764
P4 P 0.084 0.750 0.271
P5 P 0.200 0.750 0.825
P6 P 0.224 0.643 0.343
S1 S 0.054 0.097 0.129
S2 S 0.054 0.250 0.640
S3 S 0.146 0.597 0.463
S4 S 0.158 0.750 0.959
```

=====

Entry 8:
Starting from a crystal structure in the Materials Project, relaxed with PBE, the powder diffraction line list of NaFeCuSe2 was calculated for λ = 1.5418 Å (Cu Kα).
No peak broadening, texture or thermal motion is included.

Main lines, in order of falling intensity (2θ = 15–90°):
d = 1.974 Å, 45.97 deg, intensity 100.0, (0 1 3); d = 2.014 Å, 45.02 deg, intensity 98.5, (1 1 0); d = 3.138 Å, 28.45 deg, intensity 79.8, (0 1 1); d = 3.488 Å, 25.54 deg, intensity 69.3, (1 0 0); d = 2.503 Å, 35.88 deg, intensity 60.5, (0 1 2); d = 1.155 Å, 83.75 deg, intensity 33.1, (1 2 3); d = 1.410 Å, 66.30 deg, intensity 31.9, (2 0 3); d = 3.593 Å, 24.78 deg, intensity 21.6, (0 0 2)

Structure:
```
data_NaFeCuSe2
_chemical_formula_sum 'Na1 Fe1 Cu1 Se2'
_cell_length_a 4.0275
_cell_length_b 4.0275
_cell_length_c 7.1853
_cell_angle_alpha 90.00
_cell_angle_beta 90.00
_cell_angle_gamma 120.00
_space_group_name_H-M_alt 'P 3 m 1'
_space_group_IT_number 156
_space_group_name_Hall 'P 3 -2"'
loop_
_atom_site_label
_atom_site_type_symbol
_atom_site_fract_x
_atom_site_fract_y
_atom_site_fract_z
Na1 Na 0.0000 0.0000 0.0000
Fe1 Fe 0.3333 0.6667 0.5997
Cu1 Cu 0.6667 0.3333 0.3759
Se1 Se 0.3333 0.6667 0.2580
Se2 Se 0.6667 0.3333 0.7266
```

=====

Entry 9:
Starting from a crystal structure in the Materials Project, relaxed with PBE, the powder diffraction line list of K2GaAgBr6 was calculated for λ = 1.5418 Å (Cu Kα).
No peak broadening, texture or thermal motion is included.

Main lines, in order of falling intensity (2θ = 15–90°):
d = 2.705 Å, 33.11 deg, intensity 100.0, (4 0 0); d = 5.411 Å, 16.38 deg, intensity 71.2, (2 0 0); d = 1.913 Å, 47.53 deg, intensity 68.6, (4 4 0); d = 3.124 Å, 28.57 deg, intensity 51.6, (2 2 2); d = 2.420 Å, 37.16 deg, intensity 36.0, (4 2 0); d = 1.210 Å, 79.17 deg, intensity 28.2, (8 4 0); d = 1.562 Å, 59.15 deg, intensity 22.8, (4 4 4); d = 1.104 Å, 88.54 deg, intensity 21.6, (8 4 4)

Structure:
```
data_K2GaAgBr6
_chemical_formula_sum 'K8 Ga4 Ag4 Br24'
_cell_length_a 10.821
_cell_length_b 10.821
_cell_length_c 10.821
_cell_angle_alpha 90.00
_cell_angle_beta 90.00
_cell_angle_gamma 90.00
_space_group_name_H-M_alt 'F m -3 m'
_space_group_IT_number 225
_space_group_name_Hall '-F 4 2 3'
loop_
_atom_site_label
_atom_site_type_symbol
_atom_site_fract_x
_atom_site_fract_y
_atom_site_fract_z
K1 K 0.250 0.250 0.250
Ga1 Ga 0.000 0.000 0.000
Ag1 Ag 0.000 0.000 0.500
Br1 Br 0.000 0.000 0.239
```

=====

Entry 10:
Starting from a crystal structure in the Materials Project, relaxed with PBE, the powder diffraction line list of TiAl3Ge was calculated for λ = 1.5418 Å (Cu Kα).
No peak broadening, texture or thermal motion is included.

Main lines, in order of falling intensity (2θ = 15–90°):
d = 2.209 Å, 40.85 deg, intensity 100.0, (1 1 3); d = 2.003 Å, 45.28 deg, intensity 57.3, (2 0 0); d = 2.497 Å, 35.96 deg, intensity 39.5, (1 1 2); d = 2.736 Å, 32.73 deg, intensity 38.2, (1 1 1); d = 1.455 Å, 63.98 deg, intensity 27.9, (2 0 5); d = 1.192 Å, 80.58 deg, intensity 25.4, (3 1 3); d = 3.194 Å, 27.93 deg, intensity 24.7, (1 0 2); d = 2.118 Å, 42.69 deg, intensity 24.3, (0 0 5)

Structure:
```
data_TiAl3Ge
_chemical_formula_sum 'Ti2 Al6 Ge2'
_cell_length_a 4.005
_cell_length_b 4.005
_cell_length_c 10.591
_cell_angle_alpha 90.00
_cell_angle_beta 90.00
_cell_angle_gamma 90.00
_space_group_name_H-M_alt 'P 4 m m'
_space_group_IT_number 99
_space_group_name_Hall 'P 4 -2'
loop_
_atom_site_label
_atom_site_type_symbol
_atom_site_fract_x
_atom_site_fract_y
_atom_site_fract_z
Ti1 Ti 0.000 0.500 0.000
Al1 Al 0.000 0.000 0.188
Al2 Al 0.000 0.000 0.809
Al3 Al 0.000 0.500 0.613
Al4 Al 0.500 0.500 0.415
Al5 Al 0.500 0.500 0.809
Ge1 Ge 0.000 0.000 0.431
Ge2 Ge 0.500 0.500 0.175
```

=====

Entry 11:
Starting from a crystal structure in the Materials Project, relaxed with PBE, the powder diffraction line list of Zr4MoC5 was calculated for λ = 1.5418 Å (Cu Kα).
No peak broadening, texture or thermal motion is included.

Main lines, in order of falling intensity (2θ = 15–90°):
d = 2.323 Å, 38.76 deg, intensity 100.0, (1 0 10); d = 2.685 Å, 33.37 deg, intensity 98.1, (0 1 5); d = 1.402 Å, 66.73 deg, intensity 39.2, (2 0 5); d = 1.645 Å, 55.90 deg, intensity 32.7, (1 1 0); d = 2.677 Å, 33.48 deg, intensity 31.8, (0 0 15); d = 1.641 Å, 56.04 deg, intensity 30.8, (0 1 20); d = 1.343 Å, 70.09 deg, intensity 15.8, (0 2 10); d = 1.399 Å, 66.88 deg, intensity 12.4, (1 0 25)

Structure:
```
data_Zr4MoC5
_chemical_formula_sum 'Zr12 Mo3 C15'
_cell_length_a 3.2898
_cell_length_b 3.2898
_cell_length_c 40.1494
_cell_angle_alpha 90.00
_cell_angle_beta 90.00
_cell_angle_gamma 120.00
_space_group_name_H-M_alt 'R -3 m'
_space_group_IT_number 166
_space_group_name_Hall '-R 3 2"'
loop_
_atom_site_label
_atom_site_type_symbol
_atom_site_fract_x
_atom_site_fract_y
_atom_site_fract_z
Zr1 Zr 0.0000 0.0000 0.1025
Zr2 Zr 0.0000 0.0000 0.2992
Mo1 Mo 0.0000 0.0000 0.5000
C1 C 0.0000 0.0000 0.0000
C2 C 0.0000 0.0000 0.1962
C3 C 0.0000 0.0000 0.4018
```